Structure and calculated X-ray powder pattern of Na4PmHo3Te8 (DFT lattice parameters and positions (PBE); a wavelength of 1.5418 Å).
Neutral-atom scattering factors, no anomalous dispersion.

Crystal structure
a = 8.8816 Å, b = 8.8816 Å, c = 22.6991 Å
α = 90.00°, β = 90.00°, γ = 120.00°
Space group R-3m (No. 166, hexagonal axes)
Symmetry-distinct sites (fractional):
1 Na 0.0000 0.0000 0.0000 x3
2 Na 0.0000 0.5000 0.0000 x9
3 Pm 0.0000 0.0000 0.5000 x3
4 Ho 0.0000 0.5000 0.5000 x9
5 Te 0.0000 0.0000 0.2434 x6
6 Te 0.0060 0.5030 0.7555 x18

Principal peaks in the range 2θ = 15–90°, low angle first:
- d = 3.184 Å, 28.03°, intensity 100, (0 2 4)
- d = 2.283 Å, 39.47°, intensity 38, (2 0 8)
- d = 2.220 Å, 40.63°, intensity 37, (2 2 0)
- d = 1.821 Å, 50.11°, intensity 26, (4 0 4)
- d = 1.440 Å, 64.74°, intensity 17, (2 2 12)
- d = 1.408 Å, 66.40°, intensity 19, (2 4 4)

=====

Structure and calculated X-ray powder pattern of Na3Pr2HoS6 (DFT lattice parameters and positions (PBE); a wavelength of 1.5418 Å).
Neutral-atom scattering factors, no anomalous dispersion.

Crystal structure
a = 7.102 Å, b = 12.301 Å, c = 7.104 Å
α = 90.00°, β = 109.49°, γ = 90.00°
Space group C2/m (No. 12)
Symmetry-distinct sites (fractional):
1 Na 0.000 0.000 0.000 x2
2 Na 0.000 0.334 0.000 x4
3 Pr 0.000 0.167 0.500 x4
4 Ho 0.000 0.500 0.500 x2
5 S 0.238 0.339 0.732 x8
6 S 0.245 0.500 0.270 x4

Principal peaks in the range 2θ = 15–90°, low angle first:
- d = 3.497 Å, 25.47°, intensity 42, (1 3 0)
- d = 3.348 Å, 26.62°, intensity 37, (0 0 2)
- d = 2.900 Å, 30.84°, intensity 100, (1 3 1)
- d = 2.050 Å, 44.17°, intensity 71, (0 6 0)
- d = 1.674 Å, 54.84°, intensity 24, (4 0 0)
- d = 1.297 Å, 72.95°, intensity 30, (4 6 0)

=====

Structure and calculated X-ray powder pattern of Na2Pr3HoS6 (DFT lattice parameters and positions (PBE); a wavelength of 1.5418 Å).
Neutral-atom scattering factors, no anomalous dispersion.

Crystal structure
a = 7.041 Å, b = 12.181 Å, c = 7.009 Å
α = 90.00°, β = 109.44°, γ = 90.00°
Space group C2/m (No. 12)
Symmetry-distinct sites (fractional):
1 Na 0.000 0.166 0.000 x4
2 Pr 0.000 0.000 0.500 x2
3 Pr 0.000 0.329 0.500 x4
4 Ho 0.000 0.500 0.000 x2
5 S 0.240 0.500 0.753 x4
6 S 0.242 0.339 0.241 x8

Principal peaks in the range 2θ = 15–90°, low angle first:
- d = 3.316 Å, 26.89°, intensity 41, (2 0 0)
- d = 2.869 Å, 31.17°, intensity 100, (2 0 -2)
- d = 2.031 Å, 44.62°, intensity 48, (2 0 2)
- d = 2.025 Å, 44.76°, intensity 24, (1 3 -3)
- d = 1.732 Å, 52.88°, intensity 15, (3 3 1)
- d = 1.284 Å, 73.81°, intensity 15, (5 3 -3)